# 1
Theoretical powder diffraction line list of HoSb2Pt7 for copper Kα, from a GGA-PBE-relaxed structure.
Kinematic intensities with the Lorentz-polarization factor, no thermal factor.

Peak list (8 most intense, 2θ from 15° to 90°, by intensity)
2θ/deg, I_rel
39.26, 100
44.74, 36
78.76, 28
67.26, 18
47.45, 12
65.12, 12
84.44, 10
31.22, 9

Atomic structure:
```
HoSb2Pt7
1.0
-2.0257 2.0257 11.4964
2.0257 -2.0257 11.4964
2.0257 2.0257 -11.4964
Ho Sb Pt
1 2 7
direct
0.0000 0.0000 0.0000
0.3304 0.3304 0.0000
0.6696 0.6696 0.0000
0.0918 0.5918 0.5000
0.2500 0.7500 0.5000
0.4082 0.9082 0.5000
0.5000 0.5000 0.0000
0.5918 0.0918 0.5000
0.7500 0.2500 0.5000
0.9082 0.4082 0.5000
```

# 2
Theoretical powder diffraction line list of ScTaH6 for copper Kα, from a GGA-PBE-relaxed structure.
Kinematic intensities with the Lorentz-polarization factor, no thermal factor.

Peak list (8 most intense, 2θ from 15° to 90°, by intensity)
2θ/deg, I_rel
35.30, 100
28.36, 92
19.95, 74
54.82, 58
40.54, 34
40.88, 25
45.58, 19
84.49, 17

Atomic structure:
```
ScTaH6
1.0
4.4503 0.0000 0.0000
0.0000 4.4503 0.0000
0.0000 0.0000 6.1960
Sc Ta H
2 2 12
direct
0.0000 0.0000 0.0000
0.0000 0.0000 0.5000
0.5000 0.5000 0.2500
0.5000 0.5000 0.7500
0.1524 0.2635 0.2496
0.1524 0.2635 0.7504
0.2570 0.5303 0.0000
0.2635 0.8476 0.2504
0.2635 0.8476 0.7496
0.4697 0.2570 0.5000
0.5303 0.7430 0.5000
0.7365 0.1524 0.2504
0.7365 0.1524 0.7496
0.7430 0.4697 0.0000
0.8476 0.7365 0.2496
0.8476 0.7365 0.7504
```

# 3
Theoretical powder diffraction line list of RbLiCaI4 for copper Kα, from a GGA-PBE-relaxed structure.
Kinematic intensities with the Lorentz-polarization factor, no thermal factor.

Peak list (8 most intense, 2θ from 15° to 90°, by intensity)
2θ/deg, I_rel
25.07, 100
28.94, 66
27.90, 41
21.76, 29
28.07, 29
25.81, 26
24.66, 26
27.01, 26

Atomic structure:
```
RbLiCaI4
1.0
7.6230 0.0000 0.0000
0.0000 8.1584 0.0000
-3.1994 0.0000 9.4521
Rb Li Ca I
2 2 2 8
direct
0.2347 0.2500 0.0495
0.7653 0.7500 0.9505
0.2389 0.7500 0.3315
0.7611 0.2500 0.6685
0.2150 0.2500 0.5528
0.7850 0.7500 0.4472
0.0153 0.5027 0.7082
0.0153 0.9973 0.7082
0.4461 0.7500 0.1563
0.4823 0.7500 0.5927
0.5177 0.2500 0.4073
0.5539 0.2500 0.8437
0.9847 0.0027 0.2918
0.9847 0.4973 0.2918
```

# 4
Theoretical powder diffraction line list of CsGe2As4 for copper Kα, from a GGA-PBE-relaxed structure.
Kinematic intensities with the Lorentz-polarization factor, no thermal factor.

Peak list (8 most intense, 2θ from 15° to 90°, by intensity)
2θ/deg, I_rel
28.91, 100
34.03, 73
21.24, 66
28.78, 66
27.86, 64
24.82, 61
36.10, 60
20.59, 59

Atomic structure:
```
CsGe2As4
1.0
5.8520 0.0000 0.0000
0.9157 8.2946 0.0000
2.8805 2.7284 9.2660
Cs Ge As
2 4 8
direct
0.0000 0.0000 0.0000
0.2450 0.7731 0.4503
0.1826 0.4324 0.2428
0.4899 0.3764 0.6598
0.6121 0.8392 0.6746
0.6563 0.4176 0.2340
0.2541 0.5468 0.9721
0.3640 0.1076 0.6219
0.4915 0.2939 0.9270
0.5897 0.7414 0.9435
0.8004 0.1395 0.5810
0.8086 0.4668 0.9588
0.8322 0.6107 0.3193
0.9335 0.1755 0.3142
```

# 5
Theoretical powder diffraction line list of Pm5Ge2Rh for copper Kα, from a GGA-PBE-relaxed structure.
Kinematic intensities with the Lorentz-polarization factor, no thermal factor.

Peak list (8 most intense, 2θ from 15° to 90°, by intensity)
2θ/deg, I_rel
34.77, 100
33.98, 58
31.20, 42
61.82, 20
49.40, 20
62.33, 18
64.50, 17
47.41, 13

Atomic structure:
```
Pm5Ge2Rh
1.0
2.5802 1.4897 8.7184
-2.5802 1.4897 8.7184
0.0000 -2.9793 8.7184
Pm Ge Rh
5 2 1
direct
0.0000 0.0000 0.0000
0.1292 0.1292 0.1292
0.2726 0.2726 0.2726
0.7274 0.7274 0.7274
0.8708 0.8708 0.8708
0.3974 0.3974 0.3974
0.6026 0.6026 0.6026
0.5000 0.5000 0.5000
```

# 6
Theoretical powder diffraction line list of NaAsP2H6 for copper Kα, from a GGA-PBE-relaxed structure.
Kinematic intensities with the Lorentz-polarization factor, no thermal factor.

Peak list (8 most intense, 2θ from 15° to 90°, by intensity)
2θ/deg, I_rel
25.43, 100
29.07, 91
39.00, 77
19.22, 65
48.95, 57
31.81, 56
44.15, 37
41.04, 23

Atomic structure:
```
NaAsP2H6
1.0
4.3980 -4.2931 0.0000
4.3980 4.2931 0.0000
0.0000 0.0000 7.0042
Na As P H
2 2 4 12
direct
0.2005 0.7995 0.7500
0.7995 0.2005 0.2500
0.3154 0.6846 0.2500
0.6846 0.3154 0.7500
0.2521 0.2801 0.7500
0.2801 0.2521 0.2500
0.7199 0.7479 0.7500
0.7479 0.7199 0.2500
0.0250 0.7170 0.2500
0.2341 0.4353 0.5976
0.2341 0.4353 0.9024
0.2830 0.9750 0.2500
0.4353 0.2341 0.0976
0.4353 0.2341 0.4024
0.5647 0.7659 0.5976
0.5647 0.7659 0.9024
0.7170 0.0250 0.7500
0.7659 0.5647 0.0976
0.7659 0.5647 0.4024
0.9750 0.2830 0.7500
```

# 7
Theoretical powder diffraction line list of TbHo3Rh3 for copper Kα, from a GGA-PBE-relaxed structure.
Kinematic intensities with the Lorentz-polarization factor, no thermal factor.

Peak list (8 most intense, 2θ from 15° to 90°, by intensity)
2θ/deg, I_rel
37.26, 100
37.40, 99
67.26, 53
53.82, 35
26.16, 29
67.54, 17
18.41, 15
79.43, 11

Atomic structure:
```
TbHo3Rh3
1.0
4.8259 2.7863 1.9601
-4.8259 2.7863 1.9601
0.0000 -5.5725 1.9601
Tb Ho Rh
1 3 3
direct
0.0000 0.0000 0.0000
0.0000 0.5000 0.5000
0.5000 0.0000 0.5000
0.5000 0.5000 0.0000
0.0000 0.0000 0.5000
0.0000 0.5000 0.0000
0.5000 0.0000 0.0000
```

# 8
Theoretical powder diffraction line list of CsPmReN3 for copper Kα, from a GGA-PBE-relaxed structure.
Kinematic intensities with the Lorentz-polarization factor, no thermal factor.

Peak list (8 most intense, 2θ from 15° to 90°, by intensity)
2θ/deg, I_rel
30.27, 100
30.78, 76
29.87, 36
27.66, 34
40.37, 25
46.14, 24
48.21, 23
67.26, 17

Atomic structure:
```
CsPmReN3
1.0
6.9039 -1.9673 0.0000
6.9039 1.9673 0.0000
-2.0728 0.0000 8.3883
Cs Pm Re N
2 2 2 6
direct
0.1410 0.1410 0.0720
0.8590 0.8590 0.9280
0.1614 0.1614 0.5755
0.8386 0.8386 0.4245
0.4936 0.4936 0.6522
0.5064 0.5064 0.3478
0.0126 0.0126 0.3464
0.3423 0.3423 0.6128
0.3737 0.3737 0.2329
0.6263 0.6263 0.7671
0.6577 0.6577 0.3872
0.9874 0.9874 0.6536
```

# 9
Theoretical powder diffraction line list of CsUCdSe4 for copper Kα, from a GGA-PBE-relaxed structure.
Kinematic intensities with the Lorentz-polarization factor, no thermal factor.

Peak list (8 most intense, 2θ from 15° to 90°, by intensity)
2θ/deg, I_rel
30.72, 100
33.17, 85
24.36, 69
20.59, 56
19.50, 41
31.25, 36
47.01, 31
15.48, 29

Atomic structure:
```
CsUCdSe4
1.0
7.0110 0.0000 0.0000
0.0000 7.3085 0.0000
-0.8148 0.0000 9.2093
Cs U Cd Se
2 2 2 8
direct
0.2145 0.2500 0.0522
0.7855 0.7500 0.9478
0.1711 0.7500 0.4533
0.8289 0.2500 0.5467
0.3508 0.2500 0.6450
0.6492 0.7500 0.3550
0.0830 0.5101 0.6864
0.0830 0.9899 0.6864
0.3271 0.7500 0.1883
0.4859 0.2500 0.3908
0.5141 0.7500 0.6092
0.6729 0.2500 0.8117
0.9170 0.0101 0.3136
0.9170 0.4899 0.3136
```

# 10
Theoretical powder diffraction line list of SrIrCl2 for copper Kα, from a GGA-PBE-relaxed structure.
Kinematic intensities with the Lorentz-polarization factor, no thermal factor.

Peak list (8 most intense, 2θ from 15° to 90°, by intensity)
2θ/deg, I_rel
36.74, 100
30.20, 61
20.44, 31
52.24, 27
58.01, 26
41.57, 15
78.15, 14
72.69, 13

Atomic structure:
```
SrIrCl2
1.0
3.4199 0.0000 0.0000
0.0000 4.3445 0.0000
0.0000 0.0000 5.9157
Sr Ir Cl
1 1 2
direct
0.0000 0.0000 0.0000
0.5000 0.0000 0.5000
0.0000 0.5000 0.5000
0.5000 0.5000 0.0000
```

# 11
Theoretical powder diffraction line list of Pr2AlTe4 for copper Kα, from a GGA-PBE-relaxed structure.
Kinematic intensities with the Lorentz-polarization factor, no thermal factor.

Peak list (8 most intense, 2θ from 15° to 90°, by intensity)
2θ/deg, I_rel
32.38, 100
27.11, 67
28.04, 62
28.23, 45
30.72, 42
30.52, 40
41.84, 27
35.14, 26

Atomic structure:
```
Pr2AlTe4
1.0
7.3274 0.0000 0.0000
0.0000 7.4481 0.0000
-2.4819 0.0000 8.2728
Pr Al Te
4 2 8
direct
0.2122 0.2500 0.0455
0.2606 0.2500 0.5721
0.7394 0.7500 0.4279
0.7878 0.7500 0.9545
0.2719 0.7500 0.3205
0.7281 0.2500 0.6795
0.0089 0.0041 0.2619
0.0089 0.4959 0.2619
0.4190 0.7500 0.0740
0.4309 0.7500 0.6388
0.5691 0.2500 0.3612
0.5810 0.2500 0.9260
0.9911 0.5041 0.7381
0.9911 0.9959 0.7381
```

# 12
Theoretical powder diffraction line list of Rb3TaTe4 for copper Kα, from a GGA-PBE-relaxed structure.
Kinematic intensities with the Lorentz-polarization factor, no thermal factor.

Peak list (8 most intense, 2θ from 15° to 90°, by intensity)
2θ/deg, I_rel
21.78, 100
26.07, 92
30.67, 85
15.20, 76
34.54, 70
25.84, 68
37.07, 56
25.61, 54

Atomic structure:
```
Rb3TaTe4
1.0
-3.9951 5.7148 4.2641
3.9951 -5.7148 4.2641
3.9951 5.7148 -4.2641
Rb Ta Te
3 1 4
direct
0.0000 0.0000 0.0000
0.1391 0.3910 0.7482
0.6428 0.3910 0.2518
0.4761 0.9761 0.5000
0.1134 0.8073 0.3060
0.5013 0.8073 0.6940
0.6561 0.4175 0.7614
0.6561 0.8947 0.2386
```